(1)
Calculated X-ray diffraction stick pattern
Compound: Sm3Er2Mg
Radiation: Cu Kα (λ = 1.5418 Å)
Structure: a cell relaxed with PBE
Peak positions follow from Bragg's law for the DFT cell and can differ from measured ones.

Crystal structure
```
Sm3Er2Mg
1.0
3.600 0.000 0.000
0.000 3.600 0.000
0.000 0.000 14.358
Sm Er Mg
3 2 1
Direct
0.000 0.000 0.000 Sm
0.000 0.000 0.346 Sm
0.000 0.000 0.654 Sm
0.500 0.500 0.174 Er
0.500 0.500 0.826 Er
0.500 0.500 0.500 Mg
```

Top 10 peaks for 2θ = 10–90°, sorted by position:
two_theta  intensity
27.7  9
31.1  100
35.3  35
37.6  15
50.7  13
52.5  21
60.7  31
63.8  10
64.8  11
85.7  9

(2)
Calculated X-ray diffraction stick pattern
Compound: LaBe2ZnPd5
Radiation: Cu Kα (λ = 1.5418 Å)
Structure: a cell relaxed with PBE
Peak positions follow from Bragg's law for the DFT cell and can differ from measured ones.

Crystal structure
```
LaBe2ZnPd5
1.0
4.460 0.000 0.000
0.000 4.460 0.000
0.000 0.000 7.118
La Be Zn Pd
1 2 1 5
Direct
0.000 0.000 0.000 La
0.500 0.500 0.338 Be
0.500 0.500 0.662 Be
0.000 0.000 0.500 Zn
0.000 0.500 0.294 Pd
0.000 0.500 0.706 Pd
0.500 0.000 0.294 Pd
0.500 0.000 0.706 Pd
0.500 0.500 0.000 Pd
```

Top 10 peaks for 2θ = 10–90°, sorted by position:
two_theta  intensity
31.0  31
37.9  14
38.1  100
40.4  53
56.6  17
58.5  18
67.3  10
71.9  8
72.0  30
72.9  11

(3)
Calculated X-ray diffraction stick pattern
Compound: Cr3Ir4Rh3
Radiation: Cu Kα (λ = 1.5418 Å)
Structure: a cell relaxed with PBE
Peak positions follow from Bragg's law for the DFT cell and can differ from measured ones.

Crystal structure
```
Cr3Ir4Rh3
1.0
2.710 0.000 0.000
0.000 5.059 5.215
0.000 -5.059 5.215
Cr Ir Rh
3 4 3
Direct
0.000 0.000 0.000 Cr
0.000 0.508 0.842 Cr
0.000 0.842 0.508 Cr
0.500 0.034 0.296 Ir
0.500 0.296 0.034 Ir
0.500 0.552 0.552 Ir
0.500 0.803 0.803 Ir
0.000 0.342 0.342 Rh
0.500 0.169 0.679 Rh
0.500 0.679 0.169 Rh
```

Top 10 peaks for 2θ = 10–90°, sorted by position:
two_theta  intensity
17.5  26
27.1  30
27.8  44
33.1  47
38.9  69
39.6  63
43.3  100
43.7  100
44.3  27
51.9  27

(4)
Calculated X-ray diffraction stick pattern
Compound: LiHo2ErTl4
Radiation: Cu Kα (λ = 1.5418 Å)
Structure: a cell relaxed with PBE
Peak positions follow from Bragg's law for the DFT cell and can differ from measured ones.

Crystal structure
```
LiHo2ErTl4
1.0
2.607 1.505 8.773
-2.607 1.505 8.773
0.000 -3.011 8.773
Li Ho Er Tl
1 2 1 4
Direct
0.000 0.000 0.000 Li
0.254 0.254 0.254 Ho
0.746 0.746 0.746 Ho
0.500 0.500 0.500 Er
0.123 0.123 0.123 Tl
0.373 0.373 0.373 Tl
0.627 0.627 0.627 Tl
0.877 0.877 0.877 Tl
```

Top 10 peaks for 2θ = 10–90°, sorted by position:
two_theta  intensity
23.9  13
33.7  100
34.4  96
48.9  36
59.8  19
61.2  37
61.6  20
72.5  13
81.2  16
82.4  16

(5)
Calculated X-ray diffraction stick pattern
Compound: Ce2ThOs9
Radiation: Cu Kα (λ = 1.5418 Å)
Structure: a cell relaxed with PBE
Peak positions follow from Bragg's law for the DFT cell and can differ from measured ones.

Crystal structure
```
Ce2ThOs9
1.0
4.578 -2.736 0.000
4.578 2.736 0.000
-3.140 0.000 8.771
Ce Th Os
2 1 9
Direct
0.137 0.137 0.423 Ce
0.863 0.863 0.577 Ce
0.000 0.000 0.000 Th
0.082 0.575 0.238 Os
0.362 0.362 0.005 Os
0.404 0.404 0.739 Os
0.425 0.918 0.762 Os
0.500 0.500 0.500 Os
0.575 0.082 0.238 Os
0.596 0.596 0.261 Os
0.638 0.638 0.995 Os
0.918 0.425 0.762 Os
```

Top 10 peaks for 2θ = 10–90°, sorted by position:
two_theta  intensity
33.7  78
38.5  74
38.8  100
39.0  42
39.4  100
39.7  82
41.2  76
42.3  79
42.9  39
70.7  40

(6)
Calculated X-ray diffraction stick pattern
Compound: In2Pt3Pb2
Radiation: Cu Kα (λ = 1.5418 Å)
Structure: a cell relaxed with PBE
Peak positions follow from Bragg's law for the DFT cell and can differ from measured ones.

Crystal structure
```
In2Pt3Pb2
1.0
4.558 0.000 0.000
2.263 4.845 0.000
0.025 1.542 7.471
In Pt Pb
2 3 2
Direct
0.140 0.221 0.425 In
0.860 0.779 0.575 In
0.329 0.841 0.765 Pt
0.500 0.500 0.500 Pt
0.671 0.159 0.235 Pt
0.348 0.800 0.137 Pb
0.652 0.200 0.863 Pb
```

Top 10 peaks for 2θ = 10–90°, sorted by position:
two_theta  intensity
21.6  89
24.2  24
33.4  57
34.6  100
36.1  27
38.8  47
39.5  67
40.7  61
40.7  50
72.6  19

(7)
Calculated X-ray diffraction stick pattern
Compound: Pr5Sb4H
Radiation: Cu Kα (λ = 1.5418 Å)
Structure: a cell relaxed with PBE
Peak positions follow from Bragg's law for the DFT cell and can differ from measured ones.

Crystal structure
```
Pr5Sb4H
1.0
-5.010 5.010 3.196
5.010 -5.010 3.196
5.010 5.010 -3.196
Pr Sb H
5 4 1
Direct
0.000 0.000 0.000 Pr
0.259 0.665 0.800 Pr
0.458 0.259 0.594 Pr
0.665 0.864 0.406 Pr
0.864 0.458 0.200 Pr
0.160 0.360 0.397 Sb
0.360 0.963 0.200 Sb
0.763 0.160 0.800 Sb
0.963 0.763 0.603 Sb
0.625 0.625 0.000 H
```

Top 10 peaks for 2θ = 10–90°, sorted by position:
two_theta  intensity
27.9  48
28.2  100
40.1  74
40.2  38
49.7  40
58.2  13
65.4  15
65.8  17
65.9  17
73.0  24

(8)
Calculated X-ray diffraction stick pattern
Compound: Sr2Li16Ca
Radiation: Cu Kα (λ = 1.5418 Å)
Structure: a cell relaxed with PBE
Peak positions follow from Bragg's law for the DFT cell and can differ from measured ones.

Crystal structure
```
Sr2Li16Ca
1.0
5.241 3.026 5.078
-5.241 3.026 5.078
0.000 -6.052 5.078
Sr Li Ca
2 16 1
Direct
0.000 0.000 0.000 Sr
0.303 0.303 0.303 Sr
0.163 0.643 0.643 Li
0.305 0.305 0.795 Li
0.305 0.795 0.305 Li
0.347 0.646 0.946 Li
0.347 0.946 0.646 Li
0.490 0.997 0.997 Li
0.538 0.538 0.538 Li
0.643 0.163 0.643 Li
0.643 0.643 0.163 Li
0.646 0.347 0.946 Li
0.646 0.946 0.347 Li
0.795 0.305 0.305 Li
0.946 0.347 0.646 Li
0.946 0.646 0.347 Li
0.997 0.490 0.997 Li
0.997 0.997 0.490 Li
0.742 0.742 0.742 Ca
```

Top 10 peaks for 2θ = 10–90°, sorted by position:
two_theta  intensity
11.3  22
16.9  100
24.4  61
25.4  29
29.5  38
30.6  22
34.2  31
34.5  38
35.2  26
49.4  19

(9)
Calculated X-ray diffraction stick pattern
Compound: Na2UPbS4
Radiation: Cu Kα (λ = 1.5418 Å)
Structure: a cell relaxed with PBE
Peak positions follow from Bragg's law for the DFT cell and can differ from measured ones.

Crystal structure
```
Na2UPbS4
1.0
7.038 0.000 0.000
0.000 4.082 0.000
-2.416 0.000 6.837
Na U Pb S
2 1 1 4
Direct
0.000 0.000 0.000 Na
0.000 0.500 0.500 Na
0.500 0.000 0.500 U
0.500 0.500 0.000 Pb
0.267 0.000 0.725 S
0.272 0.500 0.275 S
0.728 0.500 0.725 S
0.733 0.000 0.275 S
```

Top 10 peaks for 2θ = 10–90°, sorted by position:
two_theta  intensity
13.3  100
25.0  20
25.4  42
26.7  31
30.7  34
30.8  68
33.9  17
40.5  23
43.5  25
44.5  24

(10)
Calculated X-ray diffraction stick pattern
Compound: La3NiN
Radiation: Cu Kα (λ = 1.5418 Å)
Structure: a cell relaxed with PBE
Peak positions follow from Bragg's law for the DFT cell and can differ from measured ones.

Crystal structure
```
La3NiN
1.0
4.790 0.000 0.000
0.000 7.172 0.000
0.000 0.000 7.088
La Ni N
6 2 2
Direct
0.000 0.056 0.000 La
0.000 0.408 0.652 La
0.000 0.592 0.152 La
0.000 0.944 0.500 La
0.500 0.251 0.272 La
0.500 0.749 0.772 La
0.500 0.215 0.816 Ni
0.500 0.785 0.316 Ni
0.000 0.260 0.335 N
0.000 0.740 0.835 N
```

Top 10 peaks for 2θ = 10–90°, sorted by position:
two_theta  intensity
25.7  44
27.9  40
28.1  44
31.2  100
31.4  91
33.7  54
33.9  55
35.6  54
37.6  62
52.7  43